No. 1
The following is a calculated powder X-ray diffraction pattern of K2SiH6Au. It was derived from the GGA-PBE geometry in Alexandria, using Cu Ka.
Peak positions follow from Bragg's law for the DFT cell and can differ from measured ones.

Cell and atoms:
```
data_K2SiH6Au
_chemical_formula_sum 'K6 Si3 H18 Au3'
_symmetry_space_group_name_H-M 'R 3 m'
_symmetry_Int_Tables_number 160
_symmetry_space_group_name_Hall 'R 3 -2"'
_cell_length_a 5.5719
_cell_length_b 5.5719
_cell_length_c 13.6505
_cell_angle_alpha 90.00
_cell_angle_beta 90.00
_cell_angle_gamma 120.00
loop_
_atom_site_label
_atom_site_type_symbol
_atom_site_fract_x
_atom_site_fract_y
_atom_site_fract_z
K1 K 0.0000 0.0000 0.0000
K2 K 0.0000 0.0000 0.5000
Si1 Si 0.0000 0.0000 0.2509
H1 H 0.0493 0.5246 0.9888
H2 H 0.1922 0.3844 0.8472
Au1 Au 0.0000 0.0000 0.7482
```

Principal peaks in the range 10° ≤ 2θ ≤ 80°, sorted by position:
hkl	two_theta	I (rel.)
1 0 1	19.51	63
0 1 2	22.57	27
1 1 0	32.13	100
1 1 3	37.87	40
0 2 4	46.07	19
2 0 5	50.48	18
3 0 0	57.27	37
1 3 4	76.45	16

---

No. 2
The following is a calculated powder X-ray diffraction pattern of Pm4Pr3Tl4. It was derived from the GGA-PBE geometry in Alexandria, using Cu Ka.
Peak positions follow from Bragg's law for the DFT cell and can differ from measured ones.

Cell and atoms:
```
data_Pm4Pr3Tl4
_chemical_formula_sum 'Pm8 Pr6 Tl8'
_symmetry_space_group_name_H-M 'I m m m'
_symmetry_Int_Tables_number 71
_symmetry_space_group_name_Hall '-I 2 2'
_cell_length_a 3.8183
_cell_length_b 9.6811
_cell_length_c 19.3592
_cell_angle_alpha 90.00
_cell_angle_beta 90.00
_cell_angle_gamma 90.00
loop_
_atom_site_label
_atom_site_type_symbol
_atom_site_fract_x
_atom_site_fract_y
_atom_site_fract_z
Pm1 Pm 0.0000 0.1843 0.1640
Pr1 Pr 0.0000 0.0000 0.4031
Pr2 Pr 0.0000 0.5000 0.5000
Tl1 Tl 0.0000 0.2793 0.0000
Tl2 Tl 0.0000 0.5000 0.2317
```

Principal peaks in the range 10° ≤ 2θ ≤ 80°, sorted by position:
hkl	two_theta	I (rel.)
1 2 1	30.17	100
0 3 3	30.98	70
1 1 4	31.24	94
1 0 5	32.95	52
0 2 6	33.37	65
1 3 2	37.66	45
1 2 7	44.57	36
1 5 4	56.59	37

---

No. 3
The following is a calculated powder X-ray diffraction pattern of LiAcP2Pt2. It was derived from the GGA-PBE geometry in Alexandria, using Cu Ka.
Peak positions follow from Bragg's law for the DFT cell and can differ from measured ones.

Cell and atoms:
```
data_LiAcP2Pt2
_chemical_formula_sum 'Li1 Ac1 P2 Pt2'
_symmetry_space_group_name_H-M 'P -3 m 1'
_symmetry_Int_Tables_number 164
_symmetry_space_group_name_Hall '-P 3 2"'
_cell_length_a 4.2113
_cell_length_b 4.2113
_cell_length_c 7.1290
_cell_angle_alpha 90.00
_cell_angle_beta 90.00
_cell_angle_gamma 120.00
loop_
_atom_site_label
_atom_site_type_symbol
_atom_site_fract_x
_atom_site_fract_y
_atom_site_fract_z
Li1 Li 0.0000 0.0000 0.0000
Ac1 Ac 0.0000 0.0000 0.5000
P1 P 0.3333 0.6667 0.2034
Pt1 Pt 0.3333 0.6667 0.8261
```

Principal peaks in the range 10° ≤ 2θ ≤ 80°, sorted by position:
hkl	two_theta	I (rel.)
0 1 1	27.47	100
1 0 2	35.21	64
0 0 3	37.86	19
1 1 0	42.95	44
2 0 1	51.75	18
0 2 2	56.70	17
1 1 3	58.57	33
2 1 2	73.69	16

---

No. 4
The following is a calculated powder X-ray diffraction pattern of AcCeRuI. It was derived from the GGA-PBE geometry in Alexandria, using Cu Ka.
Peak positions follow from Bragg's law for the DFT cell and can differ from measured ones.

Cell and atoms:
```
data_AcCeRuI
_chemical_formula_sum 'Ac2 Ce2 Ru2 I2'
_symmetry_space_group_name_H-M 'C 1 m 1'
_symmetry_Int_Tables_number 8
_cell_length_a 7.2595
_cell_length_b 4.2054
_cell_length_c 8.8252
_cell_angle_alpha 90.00
_cell_angle_beta 107.67
_cell_angle_gamma 90.00
loop_
_symmetry_equiv_pos_as_xyz
'x,y,z'
'x,-y,z'
'x+1/2,y+1/2,z'
'x+1/2,-y+1/2,z'
loop_
_atom_site_label
_atom_site_type_symbol
_atom_site_fract_x
_atom_site_fract_y
_atom_site_fract_z
Ac1 Ac 0.0000 0.0000 0.0000
Ce1 Ce 0.2678 0.5000 0.3712
Ru1 Ru 0.4281 0.0000 0.2294
I1 I 0.2170 0.0000 0.6742
```

Principal peaks in the range 10° ≤ 2θ ≤ 80°, sorted by position:
hkl	two_theta	I (rel.)
0 0 1	10.52	26
2 0 -1	24.73	31
1 1 1	28.51	47
1 1 -2	30.06	100
2 0 1	30.79	43
0 2 0	43.02	37
3 1 -1	43.15	40
2 2 1	53.86	32

---

No. 5
The following is a calculated powder X-ray diffraction pattern of Tb2Ge5Pt3. It was derived from the GGA-PBE geometry in Alexandria, using Cu Ka.
Peak positions follow from Bragg's law for the DFT cell and can differ from measured ones.

Cell and atoms:
```
data_Tb2Ge5Pt3
_chemical_formula_sum 'Tb8 Ge20 Pt12'
_symmetry_space_group_name_H-M 'C m c 21'
_symmetry_Int_Tables_number 36
_cell_length_a 4.3455
_cell_length_b 24.5154
_cell_length_c 7.0385
_cell_angle_alpha 90.00
_cell_angle_beta 90.00
_cell_angle_gamma 90.00
loop_
_symmetry_equiv_pos_as_xyz
'x,y,z'
'-x,-y,z+1/2'
'-x,y,z'
'x,-y,z+1/2'
'x+1/2,y+1/2,z'
'-x+1/2,-y+1/2,z+1/2'
'-x+1/2,y+1/2,z'
'x+1/2,-y+1/2,z+1/2'
loop_
_atom_site_label
_atom_site_type_symbol
_atom_site_fract_x
_atom_site_fract_y
_atom_site_fract_z
Tb1 Tb 0.0000 0.0209 0.0000
Tb2 Tb 0.0000 0.3259 0.0039
Ge1 Ge 0.0000 0.1016 0.3553
Ge2 Ge 0.0000 0.2039 0.8198
Ge3 Ge 0.0000 0.2113 0.2354
Ge4 Ge 0.0000 0.3811 0.4770
Ge5 Ge 0.0000 0.4521 0.1615
Pt1 Pt 0.0000 0.1052 0.7255
Pt2 Pt 0.0000 0.2773 0.5403
Pt3 Pt 0.0000 0.4451 0.7816
```

Principal peaks in the range 10° ≤ 2θ ≤ 80°, sorted by position:
hkl	two_theta	I (rel.)
0 6 1	25.20	22
1 3 2	34.59	100
1 7 1	35.30	60
0 10 1	38.91	26
1 9 0	39.04	26
2 0 0	41.56	48
1 3 3	45.31	27
1 9 2	47.09	23

---

No. 6
The following is a calculated powder X-ray diffraction pattern of Mg4TcH6. It was derived from the GGA-PBE geometry in Alexandria, using Cu Ka.
Peak positions follow from Bragg's law for the DFT cell and can differ from measured ones.

Cell and atoms:
```
data_Mg4TcH6
_chemical_formula_sum 'Mg24 Tc6 H36'
_symmetry_space_group_name_H-M 'R -3 c'
_symmetry_Int_Tables_number 167
_symmetry_space_group_name_Hall '-R 3 2"c'
_cell_length_a 8.2470
_cell_length_b 8.2470
_cell_length_c 11.9880
_cell_angle_alpha 90.00
_cell_angle_beta 90.00
_cell_angle_gamma 120.00
loop_
_atom_site_label
_atom_site_type_symbol
_atom_site_fract_x
_atom_site_fract_y
_atom_site_fract_z
Mg1 Mg 0.0000 0.0000 0.2500
Mg2 Mg 0.0000 0.3811 0.2500
Tc1 Tc 0.0000 0.0000 0.0000
H1 H 0.0503 0.2070 0.4219
```

Principal peaks in the range 10° ≤ 2θ ≤ 80°, sorted by position:
hkl	two_theta	I (rel.)
0 1 2	19.33	100
1 1 0	21.55	78
1 1 3	31.17	25
1 0 4	32.40	42
1 2 2	36.51	25
3 0 0	37.79	71
0 2 4	39.24	46
2 1 4	45.21	42

---

No. 7
The following is a calculated powder X-ray diffraction pattern of Ba2BeOsI. It was derived from the GGA-PBE geometry in Alexandria, using Cu Ka.
Peak positions follow from Bragg's law for the DFT cell and can differ from measured ones.

Cell and atoms:
```
data_Ba2BeOsI
_chemical_formula_sum 'Ba2 Be1 Os1 I1'
_symmetry_space_group_name_H-M 'P 4/m m m'
_symmetry_Int_Tables_number 123
_symmetry_space_group_name_Hall '-P 4 2'
_cell_length_a 6.0826
_cell_length_b 6.0826
_cell_length_c 5.1838
_cell_angle_alpha 90.00
_cell_angle_beta 90.00
_cell_angle_gamma 90.00
loop_
_atom_site_label
_atom_site_type_symbol
_atom_site_fract_x
_atom_site_fract_y
_atom_site_fract_z
Ba1 Ba 0.0000 0.5000 0.0000
Be1 Be 0.0000 0.0000 0.5000
Os1 Os 0.5000 0.5000 0.0000
I1 I 0.5000 0.5000 0.5000
```

Principal peaks in the range 10° ≤ 2θ ≤ 80°, sorted by position:
hkl	two_theta	I (rel.)
1 0 0	14.56	100
0 0 1	17.11	37
2 0 0	29.37	70
2 1 0	32.93	28
2 0 1	34.18	28
2 2 0	42.01	26
2 0 2	46.01	40
2 2 2	55.52	23

---

No. 8
The following is a calculated powder X-ray diffraction pattern of Ba5Tl2P. It was derived from the GGA-PBE geometry in Alexandria, using Cu Ka.
Peak positions follow from Bragg's law for the DFT cell and can differ from measured ones.

Cell and atoms:
```
data_Ba5Tl2P
_chemical_formula_sum 'Ba20 Tl8 P4'
_symmetry_space_group_name_H-M 'C 1 2/c 1'
_symmetry_Int_Tables_number 15
_cell_length_a 19.9187
_cell_length_b 8.2976
_cell_length_c 9.0488
_cell_angle_alpha 90.00
_cell_angle_beta 95.50
_cell_angle_gamma 90.00
loop_
_symmetry_equiv_pos_as_xyz
'x,y,z'
'-x,-y,-z'
'-x,y,-z+1/2'
'x,-y,z+1/2'
'x+1/2,y+1/2,z'
'-x+1/2,-y+1/2,-z'
'-x+1/2,y+1/2,-z+1/2'
'x+1/2,-y+1/2,z+1/2'
loop_
_atom_site_label
_atom_site_type_symbol
_atom_site_fract_x
_atom_site_fract_y
_atom_site_fract_z
Ba1 Ba 0.0000 0.0644 0.2500
Ba2 Ba 0.0992 0.3658 0.9321
Ba3 Ba 0.2206 0.0658 0.3016
Tl1 Tl 0.1020 0.2208 0.5576
P1 P 0.2500 0.2500 0.0000
```

Principal peaks in the range 10° ≤ 2θ ≤ 80°, sorted by position:
hkl	two_theta	I (rel.)
1 1 1	15.47	33
0 2 1	23.61	30
5 1 0	24.91	65
2 2 1	25.62	41
4 0 2	28.03	100
0 2 2	29.24	70
1 1 -3	31.61	36
3 3 -1	36.24	35